Record 1
Starting from the GGA-PBE geometry in Alexandria, the XRD peak list of K2BaAgF6 was calculated for Cu Kα, 1.54184 Å.
Lines closer than 0.1° are merged.

a = 6.360 Å, b = 6.431 Å, c = 11.222 Å
α = 90.00°, β = 119.45°, γ = 90.00°
Fractional coordinates of all 20 atoms:
K1 0.216 0.050 0.239
K2 0.216 0.450 0.739
K3 0.784 0.550 0.261
K4 0.784 0.950 0.761
Ba1 0.500 0.000 0.000
Ba2 0.500 0.500 0.500
Ag1 0.000 0.000 0.500
Ag2 0.000 0.500 0.000
F1 0.117 0.230 0.936
F2 0.117 0.270 0.436
F3 0.188 0.694 0.927
F4 0.188 0.806 0.427
F5 0.383 0.071 0.751
F6 0.383 0.429 0.251
F7 0.617 0.571 0.749
F8 0.617 0.929 0.249
F9 0.812 0.194 0.573
F10 0.812 0.306 0.073
F11 0.883 0.730 0.564
F12 0.883 0.770 0.064

The 6 most intense peaks (2θ = 10–90°), by angle:
18.16 deg, rel. 35
19.67 deg, rel. 68
26.04 deg, rel. 90
27.72 deg, rel. 100
28.16 deg, rel. 26
39.95 deg, rel. 40

Record 2
Starting from the GGA-PBE geometry in Alexandria, the XRD peak list of ErPbAu2 was calculated for Cu Kα, 1.54184 Å.
Lines closer than 0.1° are merged.

a = 3.654 Å, b = 3.654 Å, c = 7.026 Å
α = 90.00°, β = 90.00°, γ = 90.00°
Fractional coordinates of all 4 atoms:
Er1 0.000 0.000 0.000
Pb1 0.000 0.000 0.500
Au1 0.500 0.500 0.220
Au2 0.500 0.500 0.780

The 6 most intense peaks (2θ = 10–90°), by angle:
34.72 deg, rel. 57
35.45 deg, rel. 100
49.91 deg, rel. 21
62.70 deg, rel. 39
64.11 deg, rel. 15
83.69 deg, rel. 10

Record 3
Starting from the GGA-PBE geometry in Alexandria, the XRD peak list of Tl3SeO4 was calculated for Cu Kα, 1.54184 Å.
Lines closer than 0.1° are merged.

a = 6.178 Å, b = 6.178 Å, c = 6.178 Å
α = 118.93°, β = 95.04°, γ = 115.36°
Fractional coordinates of all 8 atoms:
Tl1 0.000 0.000 0.000
Tl2 0.221 0.463 0.757
Tl3 0.706 0.463 0.243
Se1 0.422 0.922 0.500
O1 0.335 0.123 0.789
O2 0.335 0.546 0.211
O3 0.411 0.077 0.335
O4 0.742 0.077 0.665

The 6 most intense peaks (2θ = 10–90°), by angle:
26.99 deg, rel. 30
28.43 deg, rel. 29
29.03 deg, rel. 100
39.61 deg, rel. 23
48.97 deg, rel. 22
50.72 deg, rel. 23

Record 4
Starting from the GGA-PBE geometry in Alexandria, the XRD peak list of SnBiF6 was calculated for Cu Kα, 1.54184 Å.
Lines closer than 0.1° are merged.

a = 5.183 Å, b = 5.183 Å, c = 5.687 Å
α = 96.18°, β = 96.18°, γ = 112.96°
Fractional coordinates of all 8 atoms:
Sn1 0.000 0.000 0.000
Bi1 0.500 0.500 0.500
F1 0.073 0.387 0.251
F2 0.256 0.256 0.770
F3 0.387 0.073 0.251
F4 0.613 0.927 0.749
F5 0.744 0.744 0.230
F6 0.927 0.613 0.749

The 6 most intense peaks (2θ = 10–90°), by angle:
20.55 deg, rel. 65
22.64 deg, rel. 100
26.70 deg, rel. 64
38.23 deg, rel. 25
38.42 deg, rel. 25
40.00 deg, rel. 41

Record 5
Starting from the GGA-PBE geometry in Alexandria, the XRD peak list of Y3TeP2 was calculated for Cu Kα, 1.54184 Å.
Lines closer than 0.1° are merged.

a = 7.948 Å, b = 7.948 Å, c = 7.948 Å
α = 125.51°, β = 87.53°, γ = 117.53°
Fractional coordinates of all 12 atoms:
Y1 0.000 0.233 0.233
Y2 0.000 0.767 0.767
Y3 0.500 0.000 0.000
Y4 0.500 0.233 0.733
Y5 0.500 0.500 0.500
Y6 0.500 0.767 0.267
Te1 0.166 0.916 0.250
Te2 0.834 0.084 0.750
P1 0.279 0.716 0.563
P2 0.347 0.284 0.063
P3 0.653 0.716 0.937
P4 0.721 0.284 0.437

The 6 most intense peaks (2θ = 10–90°), by angle:
16.25 deg, rel. 36
27.91 deg, rel. 25
31.17 deg, rel. 44
33.54 deg, rel. 25
35.76 deg, rel. 34
36.47 deg, rel. 100

Record 6
Starting from the GGA-PBE geometry in Alexandria, the XRD peak list of K2PaH6 was calculated for Cu Kα, 1.54184 Å.
Lines closer than 0.1° are merged.

a = 6.366 Å, b = 6.366 Å, c = 6.366 Å
α = 60.00°, β = 60.00°, γ = 60.00°
Fractional coordinates of all 9 atoms:
K1 0.250 0.250 0.250
K2 0.750 0.750 0.750
Pa1 0.000 0.000 0.000
H1 0.240 0.240 0.760
H2 0.240 0.760 0.240
H3 0.240 0.760 0.760
H4 0.760 0.240 0.240
H5 0.760 0.240 0.760
H6 0.760 0.760 0.240

The 6 most intense peaks (2θ = 10–90°), by angle:
17.06 deg, rel. 100
28.03 deg, rel. 85
33.00 deg, rel. 61
43.83 deg, rel. 28
49.61 deg, rel. 35
52.84 deg, rel. 22